[1]
Calculated XRD peak list of UMo5O16 for copper Kα, from a DFT-relaxed cell (PBE+U, the Materials Project).

Principal peaks in the range 10° ≤ 2θ ≤ 90°, low angle first:
| 2θ/deg | d_spacing | I (rel.) |
| --- | --- | --- |
| 21.56 | 4.121 | 100 |
| 25.63 | 3.475 | 28 |
| 25.90 | 3.439 | 35 |
| 26.57 | 3.354 | 64 |
| 29.84 | 2.994 | 32 |
| 34.48 | 2.602 | 27 |
| 43.95 | 2.060 | 27 |
| 49.48 | 1.842 | 29 |

Crystal structure
```
data_UMo5O16
_chemical_formula_sum 'U1 Mo5 O16'
_space_group_name_H-M_alt 'P 1'
_space_group_IT_number 1
_cell_length_a 7.363
_cell_length_b 4.121
_cell_length_c 10.064
_cell_angle_alpha 90.00
_cell_angle_beta 90.92
_cell_angle_gamma 90.00
loop_
_space_group_symop_operation_xyz
'x,y,z'
loop_
_atom_site_label
_atom_site_type_symbol
_atom_site_fract_x
_atom_site_fract_y
_atom_site_fract_z
_atom_site_occupancy
U1 U 0.000 0.000 0.000 1
Mo1 Mo 0.242 0.094 0.687 1
Mo2 Mo 0.254 0.917 0.321 1
Mo3 Mo 0.500 0.093 0.000 1
Mo4 Mo 0.746 0.917 0.679 1
Mo5 Mo 0.758 0.094 0.313 1
O1 O 0.000 0.500 0.000 1
O2 O 0.006 0.002 0.243 1
O3 O 0.187 0.998 0.493 1
O4 O 0.241 0.516 0.680 1
O5 O 0.250 0.495 0.315 1
O6 O 0.284 0.013 0.879 1
O7 O 0.286 0.002 0.120 1
O8 O 0.499 0.994 0.345 1
O9 O 0.500 0.517 0.000 1
O10 O 0.501 0.994 0.655 1
O11 O 0.714 0.002 0.880 1
O12 O 0.716 0.013 0.121 1
O13 O 0.750 0.495 0.685 1
O14 O 0.759 0.516 0.320 1
O15 O 0.813 0.998 0.507 1
O16 O 0.994 0.002 0.757 1
```

---

[2]
Calculated XRD peak list of CaV2O4 for copper Kα, from a DFT-relaxed cell (PBE+U, the Materials Project).

Principal peaks in the range 10° ≤ 2θ ≤ 90°, low angle first:
| 2θ/deg | d_spacing | I (rel.) |
| --- | --- | --- |
| 15.90 | 5.575 | 100 |
| 23.79 | 3.740 | 23 |
| 34.22 | 2.620 | 24 |
| 37.94 | 2.371 | 41 |
| 42.20 | 2.142 | 20 |
| 47.49 | 1.915 | 27 |
| 47.63 | 1.909 | 54 |
| 61.03 | 1.518 | 33 |

Crystal structure
```
data_CaV2O4
_chemical_formula_sum 'Ca4 V8 O16'
_space_group_name_H-M_alt 'P 1'
_space_group_IT_number 1
_cell_length_a 6.041
_cell_length_b 11.151
_cell_length_c 5.268
_cell_angle_alpha 90.00
_cell_angle_beta 90.00
_cell_angle_gamma 90.00
loop_
_space_group_symop_operation_xyz
'x,y,z'
loop_
_atom_site_label
_atom_site_type_symbol
_atom_site_fract_x
_atom_site_fract_y
_atom_site_fract_z
_atom_site_occupancy
Ca1 Ca 0.250 0.250 0.029 1
Ca2 Ca 0.250 0.750 0.345 1
Ca3 Ca 0.750 0.250 0.655 1
Ca4 Ca 0.750 0.750 0.971 1
V1 V 0.000 0.000 0.500 1
V2 V 0.000 0.500 0.500 1
V3 V 0.250 0.511 0.989 1
V4 V 0.250 0.989 0.989 1
V5 V 0.500 0.000 0.500 1
V6 V 0.500 0.500 0.500 1
V7 V 0.750 0.011 0.011 1
V8 V 0.750 0.489 0.011 1
O1 O 0.003 0.104 0.838 1
O2 O 0.003 0.396 0.838 1
O3 O 0.250 0.088 0.319 1
O4 O 0.250 0.412 0.319 1
O5 O 0.250 0.599 0.655 1
O6 O 0.250 0.901 0.655 1
O7 O 0.497 0.104 0.838 1
O8 O 0.497 0.396 0.838 1
O9 O 0.503 0.604 0.162 1
O10 O 0.503 0.896 0.162 1
O11 O 0.750 0.099 0.345 1
O12 O 0.750 0.401 0.345 1
O13 O 0.750 0.588 0.681 1
O14 O 0.750 0.912 0.681 1
O15 O 0.997 0.604 0.162 1
O16 O 0.997 0.896 0.162 1
```

---

[3]
Calculated XRD peak list of Li3MnV4O12 for copper Kα, from a DFT-relaxed cell (PBE+U, the Materials Project).

Principal peaks in the range 10° ≤ 2θ ≤ 90°, low angle first:
| 2θ/deg | d_spacing | I (rel.) |
| --- | --- | --- |
| 18.30 | 4.849 | 25 |
| 18.62 | 4.765 | 30 |
| 23.74 | 3.747 | 30 |
| 25.02 | 3.559 | 68 |
| 27.08 | 3.293 | 100 |
| 29.17 | 3.061 | 58 |
| 33.49 | 2.675 | 28 |
| 34.84 | 2.575 | 21 |

Crystal structure
```
data_Li3MnV4O12
_chemical_formula_sum 'Li6 Mn2 V8 O24'
_space_group_name_H-M_alt 'P 1'
_space_group_IT_number 1
_cell_length_a 7.785
_cell_length_b 7.785
_cell_length_c 10.485
_cell_angle_alpha 113.02
_cell_angle_beta 113.02
_cell_angle_gamma 75.49
loop_
_space_group_symop_operation_xyz
'x,y,z'
loop_
_atom_site_label
_atom_site_type_symbol
_atom_site_fract_x
_atom_site_fract_y
_atom_site_fract_z
_atom_site_occupancy
Li1 Li 0.000 0.000 0.000 1
Li2 Li 0.215 0.299 0.753 1
Li3 Li 0.378 0.141 0.255 1
Li4 Li 0.520 0.480 0.500 1
Li5 Li 0.701 0.785 0.247 1
Li6 Li 0.859 0.622 0.745 1
Mn1 Mn 0.333 0.667 0.000 1
Mn2 Mn 0.830 0.170 0.500 1
V1 V 0.070 0.401 0.037 1
V2 V 0.096 0.430 0.462 1
V3 V 0.130 0.842 0.282 1
V4 V 0.158 0.870 0.718 1
V5 V 0.570 0.904 0.538 1
V6 V 0.599 0.930 0.963 1
V7 V 0.628 0.349 0.780 1
V8 V 0.651 0.372 0.220 1
O1 O 0.033 0.068 0.682 1
O2 O 0.043 0.350 0.572 1
O3 O 0.092 0.600 0.206 1
O4 O 0.103 0.816 0.840 1
O5 O 0.124 0.679 0.550 1
O6 O 0.141 0.464 0.926 1
O7 O 0.184 0.897 0.160 1
O8 O 0.203 0.208 0.076 1
O9 O 0.300 0.318 0.432 1
O10 O 0.321 0.876 0.450 1
O11 O 0.400 0.908 0.794 1
O12 O 0.425 0.466 0.823 1
O13 O 0.534 0.575 0.177 1
O14 O 0.536 0.859 0.074 1
O15 O 0.602 0.089 0.704 1
O16 O 0.607 0.295 0.340 1
O17 O 0.650 0.957 0.428 1
O18 O 0.652 0.162 0.049 1
O19 O 0.682 0.700 0.568 1
O20 O 0.705 0.393 0.660 1
O21 O 0.792 0.797 0.924 1
O22 O 0.838 0.348 0.951 1
O23 O 0.911 0.398 0.296 1
O24 O 0.932 0.967 0.318 1
```

---

[4]
Calculated XRD peak list of Li4CrFe3O8 for copper Kα, from a DFT-relaxed cell (PBE+U, the Materials Project).

Principal peaks in the range 10° ≤ 2θ ≤ 90°, low angle first:
| 2θ/deg | d_spacing | I (rel.) |
| --- | --- | --- |
| 18.10 | 4.900 | 100 |
| 35.25 | 2.546 | 43 |
| 42.77 | 2.114 | 81 |
| 46.79 | 1.941 | 14 |
| 56.45 | 1.630 | 14 |
| 61.96 | 1.498 | 22 |
| 62.20 | 1.492 | 22 |
| 65.36 | 1.428 | 14 |

Crystal structure
```
data_Li4CrFe3O8
_chemical_formula_sum 'Li4 Cr1 Fe3 O8'
_space_group_name_H-M_alt 'P 1'
_space_group_IT_number 1
_cell_length_a 5.991
_cell_length_b 5.991
_cell_length_c 5.991
_cell_angle_alpha 59.77
_cell_angle_beta 59.77
_cell_angle_gamma 59.77
loop_
_space_group_symop_operation_xyz
'x,y,z'
loop_
_atom_site_label
_atom_site_type_symbol
_atom_site_fract_x
_atom_site_fract_y
_atom_site_fract_z
_atom_site_occupancy
Li1 Li 0.000 0.000 0.000 1
Li2 Li 0.000 0.500 0.500 1
Li3 Li 0.500 0.000 0.500 1
Li4 Li 0.500 0.500 0.000 1
Cr1 Cr 0.500 0.500 0.500 1
Fe1 Fe 0.000 0.000 0.500 1
Fe2 Fe 0.000 0.500 0.000 1
Fe3 Fe 0.500 0.000 0.000 1
O1 O 0.243 0.243 0.243 1
O2 O 0.244 0.742 0.742 1
O3 O 0.258 0.258 0.756 1
O4 O 0.258 0.756 0.258 1
O5 O 0.742 0.244 0.742 1
O6 O 0.742 0.742 0.244 1
O7 O 0.756 0.258 0.258 1
O8 O 0.757 0.757 0.757 1
```

---

[5]
Calculated XRD peak list of MgV2Mo2O10 for copper Kα, from a DFT-relaxed cell (PBE+U, the Materials Project).

Principal peaks in the range 10° ≤ 2θ ≤ 90°, low angle first:
| 2θ/deg | d_spacing | I (rel.) |
| --- | --- | --- |
| 17.08 | 5.191 | 45 |
| 21.15 | 4.200 | 56 |
| 24.66 | 3.611 | 27 |
| 24.92 | 3.573 | 85 |
| 25.46 | 3.499 | 25 |
| 25.71 | 3.465 | 100 |
| 44.54 | 2.034 | 24 |
| 52.85 | 1.732 | 25 |

Crystal structure
```
data_MgV2Mo2O10
_chemical_formula_sum 'Mg1 V2 Mo2 O10'
_space_group_name_H-M_alt 'P 1'
_space_group_IT_number 1
_cell_length_a 5.194
_cell_length_b 6.928
_cell_length_c 6.936
_cell_angle_alpha 90.58
_cell_angle_beta 91.22
_cell_angle_gamma 91.31
loop_
_space_group_symop_operation_xyz
'x,y,z'
loop_
_atom_site_label
_atom_site_type_symbol
_atom_site_fract_x
_atom_site_fract_y
_atom_site_fract_z
_atom_site_occupancy
Mg1 Mg 0.000 0.000 0.000 1
V1 V 0.231 0.246 0.246 1
V2 V 0.769 0.754 0.754 1
Mo1 Mo 0.500 0.250 0.750 1
Mo2 Mo 0.500 0.750 0.250 1
O1 O 0.090 0.780 0.779 1
O2 O 0.274 0.216 0.955 1
O3 O 0.274 0.954 0.216 1
O4 O 0.340 0.233 0.511 1
O5 O 0.340 0.511 0.233 1
O6 O 0.660 0.489 0.767 1
O7 O 0.660 0.767 0.489 1
O8 O 0.726 0.046 0.784 1
O9 O 0.726 0.784 0.045 1
O10 O 0.910 0.220 0.221 1
```

---

[6]
Calculated XRD peak list of Mn3PtF6 for copper Kα, from a DFT-relaxed cell (PBE+U, the Materials Project).

Principal peaks in the range 10° ≤ 2θ ≤ 90°, low angle first:
| 2θ/deg | d_spacing | I (rel.) |
| --- | --- | --- |
| 16.33 | 5.429 | 49 |
| 17.69 | 5.013 | 100 |
| 18.06 | 4.912 | 43 |
| 23.71 | 3.753 | 23 |
| 26.68 | 3.342 | 18 |
| 30.82 | 2.901 | 19 |
| 32.97 | 2.717 | 22 |
| 39.02 | 2.308 | 16 |

Crystal structure
```
data_Mn3PtF6
_chemical_formula_sum 'Mn3 Pt1 F6'
_space_group_name_H-M_alt 'P 1'
_space_group_IT_number 1
_cell_length_a 5.689
_cell_length_b 5.795
_cell_length_c 10.043
_cell_angle_alpha 87.35
_cell_angle_beta 87.17
_cell_angle_gamma 72.73
loop_
_space_group_symop_operation_xyz
'x,y,z'
loop_
_atom_site_label
_atom_site_type_symbol
_atom_site_fract_x
_atom_site_fract_y
_atom_site_fract_z
_atom_site_occupancy
Mn1 Mn 0.000 0.000 0.000 1
Mn2 Mn 0.000 0.000 0.500 1
Mn3 Mn 0.500 0.500 0.000 1
Pt1 Pt 0.000 0.500 0.000 1
F1 F 0.033 0.242 0.383 1
F2 F 0.273 0.186 0.009 1
F3 F 0.304 0.785 0.891 1
F4 F 0.696 0.215 0.109 1
F5 F 0.727 0.814 0.991 1
F6 F 0.967 0.758 0.617 1
```

---

[7]
Calculated XRD peak list of LiMn7O12 for copper Kα, from a DFT-relaxed cell (PBE+U, the Materials Project).

Principal peaks in the range 10° ≤ 2θ ≤ 90°, low angle first:
| 2θ/deg | d_spacing | I (rel.) |
| --- | --- | --- |
| 16.90 | 5.246 | 28 |
| 34.15 | 2.626 | 100 |
| 34.27 | 2.617 | 49 |
| 38.45 | 2.341 | 10 |
| 48.88 | 1.863 | 15 |
| 49.25 | 1.850 | 30 |
| 61.05 | 1.518 | 26 |
| 61.28 | 1.513 | 45 |

Crystal structure
```
data_LiMn7O12
_chemical_formula_sum 'Li2 Mn14 O24'
_space_group_name_H-M_alt 'P 1'
_space_group_IT_number 1
_cell_length_a 6.420
_cell_length_b 6.424
_cell_length_c 10.507
_cell_angle_alpha 89.67
_cell_angle_beta 89.62
_cell_angle_gamma 70.42
loop_
_space_group_symop_operation_xyz
'x,y,z'
loop_
_atom_site_label
_atom_site_type_symbol
_atom_site_fract_x
_atom_site_fract_y
_atom_site_fract_z
_atom_site_occupancy
Li1 Li 0.000 0.000 0.000 1
Li2 Li 0.500 0.500 0.500 1
Mn1 Mn 0.000 0.000 0.500 1
Mn2 Mn 0.000 0.500 0.000 1
Mn3 Mn 0.000 0.500 0.500 1
Mn4 Mn 0.246 0.247 0.250 1
Mn5 Mn 0.246 0.749 0.250 1
Mn6 Mn 0.251 0.253 0.750 1
Mn7 Mn 0.252 0.754 0.751 1
Mn8 Mn 0.500 0.000 0.000 1
Mn9 Mn 0.500 0.000 0.500 1
Mn10 Mn 0.500 0.500 0.000 1
Mn11 Mn 0.748 0.246 0.249 1
Mn12 Mn 0.749 0.747 0.250 1
Mn13 Mn 0.754 0.251 0.750 1
Mn14 Mn 0.754 0.753 0.750 1
O1 O 0.028 0.663 0.846 1
O2 O 0.067 0.067 0.758 1
O3 O 0.103 0.726 0.598 1
O4 O 0.156 0.525 0.343 1
O5 O 0.219 0.594 0.090 1
O6 O 0.245 0.252 0.935 1
O7 O 0.253 0.251 0.563 1
O8 O 0.276 0.896 0.405 1
O9 O 0.333 0.969 0.159 1
O10 O 0.406 0.782 0.911 1
O11 O 0.438 0.438 0.748 1
O12 O 0.474 0.842 0.658 1
O13 O 0.526 0.158 0.342 1
O14 O 0.562 0.562 0.252 1
O15 O 0.594 0.218 0.089 1
O16 O 0.667 0.031 0.841 1
O17 O 0.724 0.104 0.595 1
O18 O 0.747 0.749 0.437 1
O19 O 0.755 0.748 0.065 1
O20 O 0.781 0.406 0.910 1
O21 O 0.844 0.475 0.657 1
O22 O 0.897 0.274 0.402 1
O23 O 0.933 0.933 0.242 1
O24 O 0.972 0.337 0.154 1
```

---

[8]
Calculated XRD peak list of Li2MnP2O7 for copper Kα, from a DFT-relaxed cell (PBE+U, the Materials Project).

Principal peaks in the range 10° ≤ 2θ ≤ 90°, low angle first:
| 2θ/deg | d_spacing | I (rel.) |
| --- | --- | --- |
| 13.55 | 6.534 | 27 |
| 14.66 | 6.044 | 11 |
| 17.85 | 4.968 | 100 |
| 24.25 | 3.671 | 21 |
| 28.70 | 3.110 | 79 |
| 32.81 | 2.730 | 21 |
| 38.16 | 2.359 | 34 |
| 59.63 | 1.551 | 22 |

Crystal structure
```
data_Li2MnP2O7
_chemical_formula_sum 'Li4 Mn2 P4 O14'
_space_group_name_H-M_alt 'P 1'
_space_group_IT_number 1
_cell_length_a 6.816
_cell_length_b 7.255
_cell_length_c 8.212
_cell_angle_alpha 63.79
_cell_angle_beta 65.50
_cell_angle_gamma 89.98
loop_
_space_group_symop_operation_xyz
'x,y,z'
loop_
_atom_site_label
_atom_site_type_symbol
_atom_site_fract_x
_atom_site_fract_y
_atom_site_fract_z
_atom_site_occupancy
Li1 Li 0.000 0.000 0.000 1
Li2 Li 0.001 0.501 0.998 1
Li3 Li 0.469 0.470 0.061 1
Li4 Li 0.471 0.971 0.059 1
Mn1 Mn 0.235 0.735 0.528 1
Mn2 Mn 0.237 0.232 0.530 1
P1 P 0.027 0.098 0.305 1
P2 P 0.443 0.373 0.754 1
P3 P 0.668 0.597 0.305 1
P4 P 0.804 0.873 0.754 1
O1 O 0.161 0.927 0.295 1
O2 O 0.162 0.276 0.297 1
O3 O 0.308 0.544 0.761 1
O4 O 0.309 0.193 0.763 1
O5 O 0.524 0.294 0.913 1
O6 O 0.541 0.426 0.297 1
O7 O 0.543 0.777 0.295 1
O8 O 0.563 0.792 0.913 1
O9 O 0.661 0.485 0.530 1
O10 O 0.810 0.985 0.529 1
O11 O 0.908 0.676 0.146 1
O12 O 0.929 0.043 0.763 1
O13 O 0.930 0.694 0.761 1
O14 O 0.945 0.178 0.146 1
```